(1)
For Sr2ZnSb2, a structure optimized by DFT (GGA-PBE) gives the theoretical X-ray diffraction stick pattern in this record (CuKα).

Cell lengths 4.6718, 4.6718, 8.8034 Å; angles 90.00, 90.00, 120.00 degrees
Space group P-6m2 (No. 187)
Asymmetric unit:
1 Sr 0.0000 0.0000 0.2138 x2
2 Zn 0.3333 0.6667 0.5000 x1
3 Sb 0.3333 0.6667 0.0000 x1
4 Sb 0.6667 0.3333 0.5000 x1

Top 10 peaks for 2θ = 10–80°, most intense first:
30.00 deg, 2.979 Å, I = 100, hkl 1 0 2; 38.54 deg, 2.336 Å, I = 59, hkl 1 1 0; 24.21 deg, 3.676 Å, I = 46, hkl 1 0 1; 57.54 deg, 1.602 Å, I = 26, hkl 1 1 4; 49.59 deg, 1.838 Å, I = 24, hkl 2 0 2; 64.51 deg, 1.445 Å, I = 22, hkl 2 1 2; 37.88 deg, 2.375 Å, I = 14, hkl 1 0 3; 41.01 deg, 2.201 Å, I = 12, hkl 0 0 4; 20.17 deg, 4.402 Å, I = 10, hkl 0 0 2; 69.73 deg, 1.349 Å, I = 10, hkl 3 0 0

(2)
For Sm2Fe17B3, a structure optimized by DFT (GGA-PBE) gives the theoretical X-ray diffraction stick pattern in this record (CuKα).

Cell lengths 8.7692, 8.7692, 12.4871 Å; angles 90.00, 90.00, 120.00 degrees
Space group R-3m (No. 166, hexagonal axes)
Asymmetric unit:
1 Sm 0.0000 0.0000 0.1554 x6
2 Fe 0.0000 0.0000 0.4041 x6
3 Fe 0.0000 0.2791 0.5000 x18
4 Fe 0.0000 0.5000 0.0000 x9
5 Fe 0.0093 0.5046 0.3424 x18
6 B 0.0000 0.5000 0.5000 x9

Top 10 peaks for 2θ = 10–80°, most intense first:
41.76 deg, 2.163 Å, I = 100, hkl 3 0 3; 41.18 deg, 2.192 Å, I = 80, hkl 2 2 0; 29.59 deg, 3.019 Å, I = 43, hkl 1 1 3; 35.46 deg, 2.531 Å, I = 39, hkl 3 0 0; 43.49 deg, 2.081 Å, I = 37, hkl 0 0 6; 37.29 deg, 2.411 Å, I = 30, hkl 0 2 4; 60.09 deg, 1.540 Å, I = 24, hkl 1 4 3; 42.80 deg, 2.113 Å, I = 24, hkl 2 1 4; 61.43 deg, 1.509 Å, I = 21, hkl 2 2 6; 46.84 deg, 1.940 Å, I = 20, hkl 2 2 3

(3)
For Ba2ThRh3O12, a structure optimized by DFT (GGA-PBE) gives the theoretical X-ray diffraction stick pattern in this record (CuKα).

Cell lengths 7.3524, 7.3524, 16.1808 Å; angles 90.00, 90.00, 120.00 degrees
Space group R-3m (No. 166, hexagonal axes)
Asymmetric unit:
1 Ba 0.0000 0.0000 0.1072 x6
2 Th 0.0000 0.0000 0.5000 x3
3 Rh 0.0000 0.5000 0.0000 x9
4 O 0.0454 0.5227 0.8835 x18
5 O 0.0760 0.5380 0.3005 x18

Top 10 peaks for 2θ = 10–80°, most intense first:
29.40 deg, 3.038 Å, I = 100, hkl 1 1 3; 30.17 deg, 2.963 Å, I = 71, hkl 2 0 2; 31.00 deg, 2.885 Å, I = 58, hkl 0 1 5; 47.07 deg, 1.931 Å, I = 50, hkl 1 2 5; 49.59 deg, 1.838 Å, I = 50, hkl 2 2 0; 24.21 deg, 3.676 Å, I = 46, hkl 1 1 0; 28.58 deg, 3.124 Å, I = 34, hkl 0 2 1; 45.95 deg, 1.975 Å, I = 33, hkl 0 3 3; 14.95 deg, 5.925 Å, I = 31, hkl 1 0 1; 59.66 deg, 1.550 Å, I = 28, hkl 3 1 5

(4)
For Cs5I4, a structure optimized by DFT (GGA-PBE) gives the theoretical X-ray diffraction stick pattern in this record (CuKα).

Cell lengths 12.4201, 12.4201, 7.8433 Å; angles 90.00, 90.00, 90.00 degrees
Space group I4/m (No. 87)
Asymmetric unit:
1 Cs 0.0000 0.0000 0.0000 x2
2 Cs 0.1008 0.3015 0.5000 x8
3 I 0.1007 0.2998 0.0000 x8

Top 10 peaks for 2θ = 10–80°, most intense first:
22.65 deg, 3.926 Å, I = 100, hkl 1 3 0; 32.25 deg, 2.776 Å, I = 81, hkl 4 2 0; 52.10 deg, 1.756 Å, I = 41, hkl 7 1 0; 57.51 deg, 1.603 Å, I = 30, hkl 7 1 2; 39.77 deg, 2.266 Å, I = 30, hkl 4 2 2; 72.19 deg, 1.309 Å, I = 18, hkl 8 4 2; 46.25 deg, 1.963 Å, I = 15, hkl 2 6 0; 67.48 deg, 1.388 Å, I = 9, hkl 8 4 0; 76.74 deg, 1.242 Å, I = 9, hkl 10 0 0; 13.35 deg, 6.632 Å, I = 6, hkl 1 0 1

(5)
For Sm2MnGa12, a structure optimized by DFT (GGA-PBE) gives the theoretical X-ray diffraction stick pattern in this record (CuKα).

Cell lengths 6.0200, 6.0200, 15.8276 Å; angles 90.00, 90.00, 90.00 degrees
Space group P4/nbm (No. 125, origin choice 2)
Asymmetric unit:
1 Sm 0.2500 0.7500 0.2463 x4
2 Mn 0.2500 0.7500 0.0000 x2
3 Ga 0.0001 0.9999 0.0896 x8
4 Ga 0.0826 0.5826 0.4322 x8
5 Ga 0.2500 0.2500 0.1921 x4
6 Ga 0.2500 0.2500 0.3468 x4

Top 10 peaks for 2θ = 10–80°, most intense first:
31.81 deg, 2.813 Å, I = 100, hkl 2 0 2; 42.47 deg, 2.128 Å, I = 59, hkl 2 2 0; 30.85 deg, 2.898 Å, I = 53, hkl 1 1 4; 37.53 deg, 2.396 Å, I = 49, hkl 2 0 4; 40.22 deg, 2.242 Å, I = 35, hkl 1 1 6; 53.41 deg, 1.715 Å, I = 25, hkl 3 1 4; 41.39 deg, 2.181 Å, I = 21, hkl 2 0 5; 68.39 deg, 1.372 Å, I = 20, hkl 3 1 8; 33.98 deg, 2.638 Å, I = 17, hkl 0 0 6; 45.73 deg, 1.984 Å, I = 13, hkl 2 0 6

(6)
For SrAl3Au3, a structure optimized by DFT (GGA-PBE) gives the theoretical X-ray diffraction stick pattern in this record (CuKα).

Cell lengths 7.5958, 4.5880, 9.2048 Å; angles 90.00, 111.39, 90.00 degrees
Space group P2_1/m (No. 11)
Asymmetric unit:
1 Sr 0.0591 0.2500 0.2172 x2
2 Al 0.2273 0.2500 0.6744 x2
3 Al 0.3809 0.7500 0.0974 x2
4 Al 0.4742 0.7500 0.7113 x2
5 Au 0.1294 0.7500 0.5247 x2
6 Au 0.2996 0.2500 0.9724 x2
7 Au 0.4344 0.7500 0.3926 x2

Top 10 peaks for 2θ = 10–80°, most intense first:
27.22 deg, 3.277 Å, I = 100, hkl 1 1 1; 32.76 deg, 2.734 Å, I = 48, hkl 2 1 -2; 39.27 deg, 2.294 Å, I = 35, hkl 0 2 0; 23.43 deg, 3.797 Å, I = 29, hkl 2 0 -1; 35.62 deg, 2.520 Å, I = 28, hkl 3 0 -1; 20.73 deg, 4.285 Å, I = 26, hkl 0 0 2; 10.32 deg, 8.571 Å, I = 23, hkl 0 0 1; 43.01 deg, 2.103 Å, I = 22, hkl 1 1 3; 45.25 deg, 2.004 Å, I = 21, hkl 2 1 -4; 29.13 deg, 3.066 Å, I = 20, hkl 1 0 -3

(7)
For Na5Mg3, a structure optimized by DFT (GGA-PBE) gives the theoretical X-ray diffraction stick pattern in this record (CuKα).

Cell lengths 6.1592, 18.5445, 9.2439 Å; angles 90.00, 107.61, 90.00 degrees
Space group Cm (No. 8)
Asymmetric unit:
1 Na 0.0000 0.0000 0.0000 x2
2 Na 0.0179 0.5000 0.0315 x2
3 Na 0.1206 0.3994 0.6684 x4
4 Na 0.1694 0.1673 0.8156 x4
5 Na 0.3484 0.1682 0.2168 x4
6 Na 0.3973 0.3989 0.3627 x4
7 Mg 0.1493 0.0000 0.6580 x2
8 Mg 0.2578 0.3173 0.0143 x4
9 Mg 0.2599 0.2442 0.5176 x4
10 Mg 0.3681 0.0000 0.3726 x2

Top 10 peaks for 2θ = 10–80°, most intense first:
32.27 deg, 2.774 Å, I = 100, hkl 1 5 -2; 31.97 deg, 2.799 Å, I = 93, hkl 0 2 3; 33.04 deg, 2.711 Å, I = 89, hkl 1 3 -3; 35.00 deg, 2.563 Å, I = 85, hkl 2 0 1; 31.80 deg, 2.814 Å, I = 85, hkl 1 5 1; 32.59 deg, 2.748 Å, I = 78, hkl 2 2 -2; 30.65 deg, 2.917 Å, I = 65, hkl 0 6 1; 27.94 deg, 3.194 Å, I = 53, hkl 0 4 2; 29.01 deg, 3.078 Å, I = 32, hkl 2 0 -1; 28.47 deg, 3.136 Å, I = 28, hkl 1 5 0

(8)
For Pr2DyHoTm, a structure optimized by DFT (GGA-PBE) gives the theoretical X-ray diffraction stick pattern in this record (CuKα).

Cell lengths 8.4753, 11.5041, 7.3229 Å; angles 90.00, 90.00, 90.00 degrees
Space group Cmcm (No. 63)
Asymmetric unit:
1 Pr 0.1954 0.0000 0.0000 x8
2 Dy 0.0000 0.2252 0.2500 x4
3 Ho 0.0000 0.2307 0.7500 x4
4 Tm 0.0000 0.4953 0.2500 x4

Top 10 peaks for 2θ = 10–80°, most intense first:
32.31 deg, 2.771 Å, I = 100, hkl 2 0 2; 45.46 deg, 1.995 Å, I = 67, hkl 2 4 2; 31.10 deg, 2.876 Å, I = 58, hkl 0 4 0; 28.91 deg, 3.089 Å, I = 48, hkl 0 2 2; 35.52 deg, 2.528 Å, I = 48, hkl 1 3 2; 26.12 deg, 3.412 Å, I = 45, hkl 2 2 0; 39.62 deg, 2.274 Å, I = 33, hkl 3 3 0; 65.40 deg, 1.427 Å, I = 33, hkl 5 3 2; 49.77 deg, 1.832 Å, I = 29, hkl 0 0 4; 27.65 deg, 3.226 Å, I = 28, hkl 1 1 2

(9)
For NdCu, a structure optimized by DFT (GGA-PBE) gives the theoretical X-ray diffraction stick pattern in this record (CuKα).

Cell lengths 7.4290, 4.5800, 5.5668 Å; angles 90.00, 90.00, 90.00 degrees
Space group Pnma (No. 62)
Asymmetric unit:
1 Nd 0.1799 0.2500 0.1220 x4
2 Cu 0.0333 0.2500 0.6158 x4

Top 10 peaks for 2θ = 10–80°, most intense first:
39.81 deg, 2.264 Å, I = 100, hkl 3 0 1; 31.00 deg, 2.885 Å, I = 72, hkl 2 1 0; 27.94 deg, 3.193 Å, I = 67, hkl 1 1 1; 35.03 deg, 2.561 Å, I = 60, hkl 2 1 1; 34.41 deg, 2.606 Å, I = 59, hkl 1 0 2; 39.35 deg, 2.290 Å, I = 44, hkl 0 2 0; 53.24 deg, 1.720 Å, I = 43, hkl 1 2 2; 57.24 deg, 1.609 Å, I = 26, hkl 3 2 1; 25.18 deg, 3.537 Å, I = 18, hkl 0 1 1; 59.20 deg, 1.561 Å, I = 16, hkl 2 1 3

(10)
For Li2Be2PN4, a structure optimized by DFT (GGA-PBE) gives the theoretical X-ray diffraction stick pattern in this record (CuKα).

Cell lengths 9.9374, 2.7656, 7.0371 Å; angles 90.00, 129.95, 90.00 degrees
Space group C2/m (No. 12)
Asymmetric unit:
1 Li 0.1757 0.0000 0.2951 x4
2 Be 0.1573 0.5000 0.8775 x4
3 P 0.0000 0.0000 0.5000 x2
4 N 0.0554 0.5000 0.3844 x4
5 N 0.2213 0.0000 0.8097 x4

Top 10 peaks for 2θ = 10–80°, most intense first:
17.91 deg, 4.951 Å, I = 100, hkl 2 0 -1; 16.43 deg, 5.395 Å, I = 43, hkl 0 0 1; 43.97 deg, 2.059 Å, I = 35, hkl 3 1 -2; 36.59 deg, 2.456 Å, I = 15, hkl 2 0 1; 51.17 deg, 1.785 Å, I = 12, hkl 3 1 -3; 52.69 deg, 1.737 Å, I = 11, hkl 2 0 2; 34.87 deg, 2.573 Å, I = 9, hkl 1 1 -1; 61.48 deg, 1.508 Å, I = 9, hkl 5 1 -1; 71.39 deg, 1.321 Å, I = 8, hkl 1 1 -4; 67.77 deg, 1.383 Å, I = 5, hkl 0 2 0

(11)
For Nd3Sm5Tm3, a structure optimized by DFT (GGA-PBE) gives the theoretical X-ray diffraction stick pattern in this record (CuKα).

Cell lengths 10.7491, 3.5934, 11.1160 Å; angles 90.00, 118.75, 90.00 degrees
Space group Pm (No. 6)
Asymmetric unit:
1 Nd 0.0000 0.0000 0.0000 x1
2 Nd 0.2504 0.5000 0.5151 x1
3 Nd 0.5367 0.0000 0.0745 x1
4 Sm 0.2129 0.5000 0.8463 x1
5 Sm 0.3212 0.5000 0.2122 x1
6 Sm 0.5398 0.0000 0.5358 x1
7 Sm 0.6365 0.5000 0.8539 x1
8 Sm 0.8906 0.5000 0.2174 x1
9 Tm 0.6847 0.5000 0.3705 x1
10 Tm 0.8522 0.5000 0.7039 x1
11 Tm 0.9878 0.0000 0.5344 x1

Top 10 peaks for 2θ = 10–80°, most intense first:
31.32 deg, 2.856 Å, I = 100, hkl 2 1 0; 32.20 deg, 2.780 Å, I = 57, hkl 2 0 2; 30.92 deg, 2.892 Å, I = 42, hkl 0 1 2; 33.34 deg, 2.687 Å, I = 33, hkl 4 0 -2; 28.45 deg, 3.138 Å, I = 30, hkl 3 0 -3; 34.97 deg, 2.566 Å, I = 28, hkl 1 1 -3; 62.12 deg, 1.494 Å, I = 23, hkl 4 2 -2; 56.36 deg, 1.632 Å, I = 20, hkl 2 1 -6; 61.44 deg, 1.509 Å, I = 18, hkl 2 2 2; 46.11 deg, 1.969 Å, I = 17, hkl 4 1 0

(12)
For Mg2Cd8Hg3, a structure optimized by DFT (GGA-PBE) gives the theoretical X-ray diffraction stick pattern in this record (CuKα).

Cell lengths 5.7548, 5.7548, 33.3699 Å; angles 90.00, 90.00, 120.00 degrees
Space group R-3m (No. 166, hexagonal axes)
Asymmetric unit:
1 Mg 0.0000 0.0000 0.1422 x6
2 Cd 0.0000 0.0000 0.2257 x6
3 Cd 0.9996 0.4998 0.2702 x18
4 Hg 0.0000 0.0000 0.3179 x6
5 Hg 0.0000 0.0000 0.5000 x3

Top 10 peaks for 2θ = 10–80°, most intense first:
34.62 deg, 2.591 Å, I = 100, hkl 0 1 11; 36.46 deg, 2.465 Å, I = 66, hkl 2 0 2; 35.11 deg, 2.556 Å, I = 56, hkl 1 1 6; 37.67 deg, 2.388 Å, I = 51, hkl 0 2 4; 31.08 deg, 2.877 Å, I = 46, hkl 1 1 0; 57.60 deg, 1.600 Å, I = 46, hkl 1 2 11; 38.57 deg, 2.334 Å, I = 39, hkl 2 0 5; 25.86 deg, 3.445 Å, I = 38, hkl 1 0 7; 64.80 deg, 1.439 Å, I = 32, hkl 2 2 0; 18.00 deg, 4.929 Å, I = 28, hkl 1 0 1

(13)
For KMo2Ir, a structure optimized by DFT (GGA-PBE) gives the theoretical X-ray diffraction stick pattern in this record (CuKα).

Cell lengths 2.7437, 3.9927, 8.1866 Å; angles 90.00, 91.74, 90.00 degrees
Space group P2/m (No. 10)
Asymmetric unit:
1 K 0.0000 0.0000 0.0000 x1
2 Mo 0.0116 0.5000 0.6507 x2
3 Ir 0.5000 0.0000 0.5000 x1

Top 10 peaks for 2θ = 10–80°, most intense first:
10.81 deg, 8.183 Å, I = 100, hkl 0 0 1; 31.30 deg, 2.858 Å, I = 21, hkl 0 1 2; 39.88 deg, 2.261 Å, I = 15, hkl 1 1 0; 41.16 deg, 2.193 Å, I = 15, hkl 1 1 -1; 40.03 deg, 2.252 Å, I = 14, hkl 0 1 3; 41.72 deg, 2.165 Å, I = 12, hkl 1 1 1; 50.10 deg, 1.821 Å, I = 10, hkl 0 1 4; 45.42 deg, 1.997 Å, I = 9, hkl 0 2 0; 21.72 deg, 4.091 Å, I = 9, hkl 0 0 2; 46.22 deg, 1.964 Å, I = 7, hkl 1 0 -3